No. 1
Starting from DFT lattice parameters and positions (GGA-PBE), the powder XRD pattern of HfTl4S4 was simulated for a wavelength of 1.5418 Å.
Lines closer than 0.1° are merged.

Top 6 peaks for 2θ = 5–70°, low angle first:
two_theta  intensity  index
25.42  55  1 2 -1
26.13  47  -2 1 2
26.53  45  2 -1 3
27.25  46  1 2 4
30.34  59  0 0 5
30.59  100  3 1 2

Structure:
Unit cell a=9.252 b=9.256 c=15.709 alpha=76.08 beta=75.48 gamma=89.93
Fractional coordinates of all 45 atoms:
Hf: 0.000 0.000 0.000
Hf: 0.016 0.180 0.401
Hf: 0.171 0.812 0.801
Hf: 0.829 0.188 0.199
Hf: 0.984 0.820 0.599
Tl: 0.045 0.576 0.201
Tl: 0.213 0.218 0.599
Tl: 0.215 0.585 0.405
Tl: 0.221 0.396 0.008
Tl: 0.222 0.954 0.204
Tl: 0.372 0.600 0.612
Tl: 0.383 0.199 0.809
Tl: 0.390 0.785 0.997
Tl: 0.412 0.969 0.401
Tl: 0.421 0.392 0.202
Tl: 0.579 0.608 0.798
Tl: 0.588 0.031 0.599
Tl: 0.610 0.215 0.003
Tl: 0.617 0.801 0.191
Tl: 0.628 0.400 0.388
Tl: 0.778 0.046 0.796
Tl: 0.779 0.604 0.992
Tl: 0.785 0.415 0.595
Tl: 0.787 0.782 0.401
Tl: 0.955 0.424 0.799
S: 0.062 0.559 0.597
S: 0.069 0.898 0.424
S: 0.074 0.739 0.978
S: 0.085 0.077 0.824
S: 0.091 0.235 0.225
S: 0.237 0.547 0.807
S: 0.244 0.887 0.625
S: 0.266 0.070 0.004
S: 0.280 0.252 0.397
S: 0.434 0.884 0.801
S: 0.566 0.116 0.199
S: 0.720 0.748 0.603
S: 0.734 0.930 0.996
S: 0.756 0.113 0.375
S: 0.763 0.453 0.193
S: 0.909 0.765 0.775
S: 0.915 0.923 0.176
S: 0.926 0.261 0.022
S: 0.931 0.102 0.576
S: 0.938 0.441 0.403

---

No. 2
Starting from DFT lattice parameters and positions (GGA-PBE), the powder XRD pattern of HfU3S3 was simulated for a wavelength of 1.5418 Å.
Lines closer than 0.1° are merged.

Top 6 peaks for 2θ = 5–70°, low angle first:
two_theta  intensity  index
23.79  3  1 1 0
29.25  100  1 1 1
33.90  83  2 0 0
48.70  60  2 2 0
57.83  48  3 1 1
60.66  21  2 2 2

Structure:
Unit cell a=5.288 b=5.288 c=5.288 alpha=90.00 beta=90.00 gamma=90.00
Fractional coordinates of all 7 atoms:
Hf: 0.000 0.000 0.000
U: 0.000 0.500 0.500
U: 0.500 0.000 0.500
U: 0.500 0.500 0.000
S: 0.000 0.000 0.500
S: 0.000 0.500 0.000
S: 0.500 0.000 0.000

---

No. 3
Starting from DFT lattice parameters and positions (GGA-PBE), the powder XRD pattern of Hf9W4S was simulated for a wavelength of 1.5418 Å.
Lines closer than 0.1° are merged.

Top 6 peaks for 2θ = 5–70°, low angle first:
two_theta  intensity  index
11.74  26  1 0 0
37.30  70  3 0 1
37.91  100  2 1 2
39.53  43  2 0 3
62.79  25  3 2 3
65.87  27  3 0 5

Structure:
Unit cell a=8.701 b=8.701 c=8.590 alpha=90.00 beta=90.00 gamma=120.00
Fractional coordinates of all 28 atoms:
Hf: 0.084 0.542 0.250
Hf: 0.196 0.393 0.551
Hf: 0.196 0.393 0.949
Hf: 0.196 0.804 0.551
Hf: 0.196 0.804 0.949
Hf: 0.393 0.196 0.051
Hf: 0.393 0.196 0.449
Hf: 0.458 0.542 0.250
Hf: 0.458 0.916 0.250
Hf: 0.542 0.084 0.750
Hf: 0.542 0.458 0.750
Hf: 0.607 0.804 0.551
Hf: 0.607 0.804 0.949
Hf: 0.804 0.196 0.051
Hf: 0.804 0.196 0.449
Hf: 0.804 0.607 0.051
Hf: 0.804 0.607 0.449
Hf: 0.916 0.458 0.750
W: 0.000 0.000 0.000
W: 0.000 0.000 0.500
W: 0.111 0.221 0.250
W: 0.111 0.889 0.250
W: 0.221 0.111 0.750
W: 0.779 0.889 0.250
W: 0.889 0.111 0.750
W: 0.889 0.779 0.750
S: 0.333 0.667 0.750
S: 0.667 0.333 0.250